For MgCu2P2O9, a crystal structure in the Materials Project, relaxed with GGA-PBE gives the theoretical X-ray diffraction stick pattern in this record (CuKα).

Structure:
Unit cell a=14.2944 b=6.2349 c=7.1418 alpha=90.00 beta=90.00 gamma=90.00
Space group Pnma (No. 62)
Symmetry-distinct sites (fractional):
Mg: 0.2234 0.2500 0.1037 [4 per cell]
Cu: 0.0000 0.0000 0.0000 [4 per cell]
Cu: 0.1206 0.2500 0.6472 [4 per cell]
P: 0.0706 0.7500 0.6332 [4 per cell]
P: 0.1976 0.7500 0.1134 [4 per cell]
O: 0.9996 0.2500 0.5222 [4 per cell]
O: 0.0203 0.7500 0.8293 [4 per cell]
O: 0.0510 0.2500 0.8745 [4 per cell]
O: 0.1402 0.5386 0.1112 [8 per cell]
O: 0.1426 0.5637 0.6287 [8 per cell]
O: 0.2292 0.2500 0.4507 [4 per cell]
O: 0.2414 0.2500 0.7969 [4 per cell]

Largest 10 diffraction maxima, in order of rising 2θ, 2θ from 10° to 90°:
- 2θ 17.56, d = 5.052 Å, intensity 62.8
- 2θ 22.43, d = 3.964 Å, intensity 26.7
- 2θ 25.71, d = 3.464 Å, intensity 100.0
- 2θ 27.92, d = 3.195 Å, intensity 39.2
- 2θ 28.63, d = 3.117 Å, intensity 27.8
- 2θ 31.30, d = 2.857 Å, intensity 30.6
- 2θ 31.94, d = 2.802 Å, intensity 70.5
- 2θ 33.78, d = 2.654 Å, intensity 66.1
- 2θ 40.42, d = 2.231 Å, intensity 47.8
- 2θ 58.50, d = 1.578 Å, intensity 33.6

For Zr2N2O, a crystal structure in the Materials Project, relaxed with GGA-PBE gives the theoretical X-ray diffraction stick pattern in this record (CuKα).

Structure:
Unit cell a=8.8629 b=8.8710 c=8.8755 alpha=109.42 beta=109.42 gamma=109.42
Space group P1 (No. 1)
Symmetry-distinct sites (fractional):
Zr: 0.0000 0.0000 0.0000 [1 per cell]
Zr: 0.0005 0.4956 0.5048 [1 per cell]
Zr: 0.0311 0.2353 0.7140 [1 per cell]
Zr: 0.2136 0.4509 0.1713 [1 per cell]
Zr: 0.2402 0.6891 0.9564 [1 per cell]
Zr: 0.2673 0.2165 0.4768 [1 per cell]
Zr: 0.2879 0.9581 0.7479 [1 per cell]
Zr: 0.4657 0.1800 0.2182 [1 per cell]
Zr: 0.4934 0.4160 0.9262 [1 per cell]
Zr: 0.4976 0.9223 0.4309 [1 per cell]
Zr: 0.5302 0.7411 0.7195 [1 per cell]
Zr: 0.7129 0.4498 0.6689 [1 per cell]
Zr: 0.7366 0.1894 0.9549 [1 per cell]
Zr: 0.7562 0.7078 0.4541 [1 per cell]
Zr: 0.7791 0.9485 0.2464 [1 per cell]
Zr: 0.9690 0.6717 0.2183 [1 per cell]
N: 0.0203 0.7472 0.4928 [1 per cell]
N: 0.2163 0.7189 0.2045 [1 per cell]
N: 0.2320 0.1577 0.6850 [1 per cell]
N: 0.2598 0.2487 0.2349 [1 per cell]
N: 0.2824 0.6944 0.7265 [1 per cell]
N: 0.2977 0.4808 0.9794 [1 per cell]
N: 0.4820 0.4771 0.7025 [1 per cell]
N: 0.4889 0.1706 0.4745 [1 per cell]
N: 0.5118 0.9778 0.6906 [1 per cell]
N: 0.5212 0.2149 0.0071 [1 per cell]
N: 0.7065 0.6742 0.1900 [1 per cell]
N: 0.7149 0.4359 0.4212 [1 per cell]
N: 0.7379 0.9649 0.9972 [1 per cell]
N: 0.7777 0.9762 0.5036 [1 per cell]
N: 0.9775 0.1946 0.9211 [1 per cell]
N: 0.9770 0.4655 0.7366 [1 per cell]
O: 0.0075 0.2382 0.4429 [1 per cell]
O: 0.0188 0.9332 0.2255 [1 per cell]
O: 0.1998 0.9297 0.9514 [1 per cell]
O: 0.4771 0.6567 0.4342 [1 per cell]
O: 0.5211 0.9461 0.1864 [1 per cell]
O: 0.7667 0.4460 0.9345 [1 per cell]
O: 0.8001 0.7434 0.7378 [1 per cell]
O: 0.9858 0.4318 0.2353 [1 per cell]

Largest 10 diffraction maxima, in order of rising 2θ, 2θ from 10° to 90°:
- 2θ 21.23, d = 4.184 Å, intensity 17.4
- 2θ 30.19, d = 2.960 Å, intensity 100.0
- 2θ 30.25, d = 2.954 Å, intensity 33.9
- 2θ 35.02, d = 2.562 Å, intensity 37.8
- 2θ 37.22, d = 2.416 Å, intensity 8.6
- 2θ 45.15, d = 2.008 Å, intensity 7.5
- 2θ 50.32, d = 1.813 Å, intensity 25.0
- 2θ 50.42, d = 1.810 Å, intensity 25.6
- 2θ 59.81, d = 1.546 Å, intensity 14.3
- 2θ 59.91, d = 1.544 Å, intensity 21.2

For K2Ca3Si3O10, a crystal structure in the Materials Project, relaxed with GGA-PBE gives the theoretical X-ray diffraction stick pattern in this record (CuKα).

Structure:
Unit cell a=5.7240 b=7.4865 c=12.0638 alpha=85.42 beta=80.47 gamma=88.32
Space group P-1 (No. 2)
Symmetry-distinct sites (fractional):
K: 0.1673 0.4387 0.3485 [2 per cell]
K: 0.2793 0.5398 0.8742 [2 per cell]
Ca: 0.1690 0.9701 0.3602 [2 per cell]
Ca: 0.2068 0.7444 0.1231 [2 per cell]
Ca: 0.2719 0.0042 0.8398 [2 per cell]
Si: 0.2491 0.2288 0.0783 [2 per cell]
Si: 0.3420 0.3147 0.6500 [2 per cell]
Si: 0.3637 0.7547 0.5893 [2 per cell]
O: 0.0830 0.2385 0.7042 [2 per cell]
O: 0.1160 0.2155 0.9667 [2 per cell]
O: 0.1219 0.8334 0.5498 [2 per cell]
O: 0.1286 0.0700 0.1736 [2 per cell]
O: 0.2116 0.4327 0.1227 [2 per cell]
O: 0.3234 0.5382 0.6375 [2 per cell]
O: 0.4194 0.2508 0.5211 [2 per cell]
O: 0.4615 0.7501 0.2701 [2 per cell]
O: 0.4627 0.8112 0.9584 [2 per cell]
O: 0.4690 0.8543 0.6836 [2 per cell]

Largest 10 diffraction maxima, in order of rising 2θ, 2θ from 10° to 90°:
- 2θ 30.12, d = 2.967 Å, intensity 100.0
- 2θ 30.59, d = 2.922 Å, intensity 37.8
- 2θ 31.37, d = 2.851 Å, intensity 68.3
- 2θ 31.71, d = 2.822 Å, intensity 32.3
- 2θ 32.31, d = 2.770 Å, intensity 69.8
- 2θ 33.05, d = 2.711 Å, intensity 62.6
- 2θ 34.35, d = 2.611 Å, intensity 31.6
- 2θ 40.36, d = 2.235 Å, intensity 35.1
- 2θ 48.83, d = 1.865 Å, intensity 27.1
- 2θ 67.61, d = 1.386 Å, intensity 22.4

For Te4Mo3WSe4, a crystal structure in the Materials Project, relaxed with GGA-PBE gives the theoretical X-ray diffraction stick pattern in this record (CuKα).

Structure:
Unit cell a=3.4394 b=3.4394 c=39.0948 alpha=90.00 beta=90.00 gamma=120.00
Space group P3m1 (No. 156)
Symmetry-distinct sites (fractional):
Te: 0.0000 0.0000 0.0000 [1 per cell]
Te: 0.0000 0.0000 0.0949 [1 per cell]
Te: 0.3333 0.6667 0.1877 [1 per cell]
Te: 0.3333 0.6667 0.2831 [1 per cell]
Mo: 0.0000 0.0000 0.8596 [1 per cell]
Mo: 0.3333 0.6667 0.0474 [1 per cell]
Mo: 0.3333 0.6667 0.4232 [1 per cell]
W: 0.0000 0.0000 0.2354 [1 per cell]
Se: 0.0000 0.0000 0.3814 [1 per cell]
Se: 0.0000 0.0000 0.4650 [1 per cell]
Se: 0.3333 0.6667 0.8178 [1 per cell]
Se: 0.3333 0.6667 0.9014 [1 per cell]

Largest 10 diffraction maxima, in order of rising 2θ, 2θ from 10° to 90°:
- 2θ 11.32, d = 7.819 Å, intensity 100.0
- 2θ 30.02, d = 2.976 Å, intensity 58.0
- 2θ 34.11, d = 2.628 Å, intensity 17.5
- 2θ 35.29, d = 2.543 Å, intensity 99.5
- 2θ 36.58, d = 2.457 Å, intensity 23.2
- 2θ 42.73, d = 2.116 Å, intensity 65.8
- 2θ 44.47, d = 2.037 Å, intensity 21.6
- 2θ 53.28, d = 1.719 Å, intensity 44.6
- 2θ 65.52, d = 1.425 Å, intensity 16.0
- 2θ 75.21, d = 1.263 Å, intensity 20.1

For TmMgS3, a crystal structure in the Materials Project, relaxed with GGA-PBE gives the theoretical X-ray diffraction stick pattern in this record (CuKα).

Structure:
Unit cell a=7.1025 b=11.9840 c=6.6217 alpha=90.00 beta=117.20 gamma=90.00
Space group C2/m (No. 12)
Symmetry-distinct sites (fractional):
Tm: 0.2003 0.0000 0.3136 [4 per cell]
Mg: 0.0000 0.3370 0.0000 [4 per cell]
S: 0.0380 0.5000 0.2599 [4 per cell]
S: 0.0551 0.1661 0.8039 [8 per cell]

Largest 10 diffraction maxima, in order of rising 2θ, 2θ from 10° to 90°:
- 2θ 14.78, d = 5.992 Å, intensity 100.0
- 2θ 16.89, d = 5.250 Å, intensity 69.1
- 2θ 21.15, d = 4.200 Å, intensity 30.6
- 2θ 25.18, d = 3.537 Å, intensity 30.5
- 2θ 26.04, d = 3.421 Å, intensity 48.4
- 2θ 27.04, d = 3.297 Å, intensity 43.7
- 2θ 27.96, d = 3.191 Å, intensity 48.7
- 2θ 29.32, d = 3.046 Å, intensity 40.1
- 2θ 33.67, d = 2.662 Å, intensity 34.2
- 2θ 45.92, d = 1.976 Å, intensity 36.5

For LiAl2Tc, a crystal structure in the Materials Project, relaxed with GGA-PBE gives the theoretical X-ray diffraction stick pattern in this record (CuKα).

Structure:
Unit cell a=6.0906 b=6.0906 c=6.0906 alpha=90.00 beta=90.00 gamma=90.00
Space group Fm-3m (No. 225)
Symmetry-distinct sites (fractional):
Li: 0.0000 0.0000 0.0000 [4 per cell]
Al: 0.2500 0.2500 0.2500 [8 per cell]
Tc: 0.0000 0.0000 0.5000 [4 per cell]

Largest 10 diffraction maxima, in order of rising 2θ, 2θ from 10° to 90°:
- 2θ 25.33, d = 3.516 Å, intensity 94.2
- 2θ 29.33, d = 3.045 Å, intensity 13.9
- 2θ 41.96, d = 2.153 Å, intensity 100.0
- 2θ 49.64, d = 1.836 Å, intensity 43.5
- 2θ 52.01, d = 1.758 Å, intensity 3.8
- 2θ 60.84, d = 1.523 Å, intensity 16.3
- 2θ 66.97, d = 1.397 Å, intensity 17.2
- 2θ 68.95, d = 1.362 Å, intensity 4.6
- 2θ 76.64, d = 1.243 Å, intensity 32.5
- 2θ 82.25, d = 1.172 Å, intensity 12.9

For Na2MgNb2O6, a crystal structure in the Materials Project, relaxed with GGA-PBE gives the theoretical X-ray diffraction stick pattern in this record (CuKα).

Structure:
Unit cell a=5.3351 b=5.3351 c=17.1574 alpha=90.00 beta=90.00 gamma=120.00
Space group R-3 (No. 148, hexagonal axes)
Symmetry-distinct sites (fractional):
Na: 0.0000 0.0000 0.1666 [6 per cell]
Mg: 0.0000 0.0000 0.0000 [3 per cell]
Nb: 0.0000 0.0000 0.3455 [6 per cell]
O: 0.0037 0.6582 0.3986 [18 per cell]

Largest 10 diffraction maxima, in order of rising 2θ, 2θ from 10° to 90°:
- 2θ 15.49, d = 5.719 Å, intensity 100.0
- 2θ 19.90, d = 4.461 Å, intensity 12.5
- 2θ 21.85, d = 4.068 Å, intensity 16.3
- 2θ 28.39, d = 3.144 Å, intensity 31.6
- 2θ 33.60, d = 2.668 Å, intensity 50.6
- 2θ 37.19, d = 2.418 Å, intensity 45.6
- 2θ 46.56, d = 1.951 Å, intensity 69.1
- 2θ 60.07, d = 1.540 Å, intensity 22.9
- 2θ 62.45, d = 1.487 Å, intensity 12.6
- 2θ 79.25, d = 1.209 Å, intensity 12.4

For K2TlHgCl6, a crystal structure in the Materials Project, relaxed with GGA-PBE gives the theoretical X-ray diffraction stick pattern in this record (CuKα).

Structure:
Unit cell a=10.8744 b=10.8744 c=10.8744 alpha=90.00 beta=90.00 gamma=90.00
Space group Fm-3m (No. 225)
Symmetry-distinct sites (fractional):
K: 0.2500 0.2500 0.2500 [8 per cell]
Tl: 0.0000 0.0000 0.0000 [4 per cell]
Hg: 0.0000 0.0000 0.5000 [4 per cell]
Cl: 0.0000 0.0000 0.2538 [24 per cell]

Largest 10 diffraction maxima, in order of rising 2θ, 2θ from 10° to 90°:
- 2θ 16.30, d = 5.437 Å, intensity 100.0
- 2θ 23.13, d = 3.845 Å, intensity 97.3
- 2θ 32.95, d = 2.719 Å, intensity 59.0
- 2θ 36.97, d = 2.432 Å, intensity 54.2
- 2θ 40.64, d = 2.220 Å, intensity 46.3
- 2θ 47.29, d = 1.922 Å, intensity 40.8
- 2θ 50.35, d = 1.812 Å, intensity 28.5
- 2θ 53.28, d = 1.719 Å, intensity 21.4
- 2θ 64.08, d = 1.453 Å, intensity 24.7
- 2θ 78.70, d = 1.216 Å, intensity 17.6

For K3Mn, a crystal structure in the Materials Project, relaxed with GGA-PBE gives the theoretical X-ray diffraction stick pattern in this record (CuKα).

Structure:
Unit cell a=8.1778 b=8.1778 c=12.6220 alpha=90.00 beta=90.00 gamma=90.00
Space group I4/mcm (No. 140)
Symmetry-distinct sites (fractional):
K: 0.0000 0.0000 0.2500 [4 per cell]
K: 0.1933 0.3067 0.0000 [8 per cell]
Mn: 0.0000 0.5000 0.2500 [4 per cell]

Largest 10 diffraction maxima, in order of rising 2θ, 2θ from 10° to 90°:
- 2θ 25.36, d = 3.513 Å, intensity 21.3
- 2θ 25.97, d = 3.432 Å, intensity 100.0
- 2θ 28.28, d = 3.156 Å, intensity 25.1
- 2θ 30.93, d = 2.891 Å, intensity 25.4
- 2θ 32.44, d = 2.760 Å, intensity 10.7
- 2θ 42.40, d = 2.132 Å, intensity 19.7
- 2θ 46.34, d = 1.959 Å, intensity 8.0
- 2θ 48.68, d = 1.871 Å, intensity 15.3
- 2θ 50.90, d = 1.794 Å, intensity 5.9
- 2θ 52.07, d = 1.756 Å, intensity 11.1

For Ce3Al, a crystal structure in the Materials Project, relaxed with GGA-PBE gives the theoretical X-ray diffraction stick pattern in this record (CuKα).

Structure:
Unit cell a=6.6788 b=5.2052 c=11.8567 alpha=90.00 beta=91.00 gamma=90.00
Space group P2_1/m (No. 11)
Symmetry-distinct sites (fractional):
Ce: 0.0064 0.2500 0.1736 [2 per cell]
Ce: 0.2157 0.2500 0.4269 [2 per cell]
Ce: 0.2243 0.7500 0.5714 [2 per cell]
Ce: 0.2429 0.7500 0.1056 [2 per cell]
Ce: 0.2789 0.2500 0.9023 [2 per cell]
Ce: 0.4899 0.7500 0.3004 [2 per cell]
Al: 0.0120 0.2500 0.6695 [2 per cell]
Al: 0.4962 0.2500 0.1608 [2 per cell]

Largest 10 diffraction maxima, in order of rising 2θ, 2θ from 10° to 90°:
- 2θ 22.74, d = 3.911 Å, intensity 31.0
- 2θ 22.85, d = 3.892 Å, intensity 28.5
- 2θ 23.00, d = 3.867 Å, intensity 32.5
- 2θ 30.50, d = 2.931 Å, intensity 18.9
- 2θ 30.97, d = 2.888 Å, intensity 33.5
- 2θ 34.46, d = 2.603 Å, intensity 73.1
- 2θ 34.84, d = 2.575 Å, intensity 100.0
- 2θ 35.14, d = 2.554 Å, intensity 95.4
- 2θ 35.55, d = 2.525 Å, intensity 76.1
- 2θ 47.00, d = 1.933 Å, intensity 21.0